# 1
The following is a simulated powder XRD pattern of NpIn3. It was derived from a PBE-relaxed structure, using Cu Kα (λ = 1.5418 Å).
Kinematic intensities with the Lorentz-polarization factor, no thermal factor.

Atomic structure:
```
NpIn3
1.0
4.659 0.000 0.000
0.000 4.659 0.000
0.000 0.000 4.659
Np In
1 3
Direct
0.000 0.000 0.000 Np
0.000 0.500 0.500 In
0.500 0.000 0.500 In
0.500 0.500 0.000 In
```

Most intense lines, 10 to 90 degrees two-theta, low angle first:
- 19.05 deg, 4.659 Å, intensity 11
- 27.06 deg, 3.295 Å, intensity 9
- 33.31 deg, 2.690 Å, intensity 100
- 38.65 deg, 2.330 Å, intensity 50
- 43.43 deg, 2.084 Å, intensity 6
- 47.82 deg, 1.902 Å, intensity 4
- 55.81 deg, 1.647 Å, intensity 34
- 59.52 deg, 1.553 Å, intensity 3
- 66.56 deg, 1.405 Å, intensity 40
- 69.94 deg, 1.345 Å, intensity 11
- 76.50 deg, 1.245 Å, intensity 2
- 82.88 deg, 1.165 Å, intensity 6



# 2
The following is a simulated powder XRD pattern of V2NiSe4. It was derived from a PBE-relaxed structure, using Cu Kα (λ = 1.5418 Å).
Kinematic intensities with the Lorentz-polarization factor, no thermal factor.

Atomic structure:
```
V2NiSe4
1.0
6.478 -1.698 0.000
6.478 1.698 0.000
-2.789 0.000 5.530
V Ni Se
2 1 4
Direct
0.245 0.245 0.187 V
0.755 0.755 0.813 V
0.500 0.500 0.500 Ni
0.139 0.139 0.478 Se
0.395 0.395 0.053 Se
0.605 0.605 0.947 Se
0.861 0.861 0.522 Se
```

Most intense lines, 10 to 90 degrees two-theta, low angle first:
- 32.38 deg, 2.765 Å, intensity 47
- 33.25 deg, 2.694 Å, intensity 53
- 33.65 deg, 2.663 Å, intensity 100
- 34.08 deg, 2.631 Å, intensity 56
- 35.22 deg, 2.548 Å, intensity 23
- 42.11 deg, 2.146 Å, intensity 42
- 43.29 deg, 2.090 Å, intensity 47
- 43.97 deg, 2.059 Å, intensity 59
- 51.85 deg, 1.763 Å, intensity 59
- 54.01 deg, 1.698 Å, intensity 33
- 57.29 deg, 1.608 Å, intensity 25
- 64.42 deg, 1.446 Å, intensity 24



# 3
The following is a simulated powder XRD pattern of Na4MgCuAs2O8. It was derived from a PBE-relaxed structure, using Cu Kα (λ = 1.5418 Å).
Kinematic intensities with the Lorentz-polarization factor, no thermal factor.

Atomic structure:
```
Na4MgCuAs2O8
1.0
5.415 0.000 0.000
2.690 4.879 0.000
2.587 0.508 8.601
Na Mg Cu As O
4 1 1 2 8
Direct
0.000 0.000 0.000 Na
0.132 0.020 0.607 Na
0.645 0.648 0.064 Na
0.867 0.876 0.382 Na
0.394 0.326 0.800 Mg
0.541 0.443 0.407 Cu
0.283 0.277 0.195 As
0.720 0.631 0.714 As
0.002 0.372 0.810 O
0.006 0.603 0.183 O
0.193 0.065 0.338 O
0.419 0.123 0.020 O
0.426 0.650 0.870 O
0.483 0.555 0.593 O
0.586 0.290 0.226 O
0.706 0.963 0.695 O
```

Most intense lines, 10 to 90 degrees two-theta, low angle first:
- 18.21 deg, 4.871 Å, intensity 49
- 19.23 deg, 4.616 Å, intensity 37
- 20.65 deg, 4.301 Å, intensity 41
- 21.49 deg, 4.135 Å, intensity 58
- 23.87 deg, 3.728 Å, intensity 45
- 24.20 deg, 3.677 Å, intensity 48
- 24.60 deg, 3.618 Å, intensity 69
- 32.23 deg, 2.778 Å, intensity 100
- 32.42 deg, 2.762 Å, intensity 83
- 32.80 deg, 2.731 Å, intensity 79
- 33.09 deg, 2.707 Å, intensity 97
- 35.38 deg, 2.537 Å, intensity 48



# 4
The following is a simulated powder XRD pattern of Mg14AlZn. It was derived from a PBE-relaxed structure, using Cu Kα (λ = 1.5418 Å).
Kinematic intensities with the Lorentz-polarization factor, no thermal factor.

Atomic structure:
```
Mg14AlZn
1.0
6.279 0.000 0.000
-3.140 5.438 0.000
0.000 0.000 10.299
Mg Al Zn
14 1 1
Direct
0.000 0.000 0.249 Mg
0.000 0.000 0.751 Mg
0.004 0.502 0.250 Mg
0.004 0.502 0.750 Mg
0.333 0.166 0.000 Mg
0.333 0.167 0.500 Mg
0.498 0.502 0.250 Mg
0.498 0.502 0.750 Mg
0.498 0.996 0.250 Mg
0.498 0.996 0.750 Mg
0.833 0.167 0.500 Mg
0.833 0.667 0.500 Mg
0.834 0.166 0.000 Mg
0.834 0.667 0.000 Mg
0.333 0.667 0.500 Al
0.333 0.667 0.000 Zn
```

Most intense lines, 10 to 90 degrees two-theta, low angle first:
- 16.30 deg, 5.438 Å, intensity 6
- 18.45 deg, 4.809 Å, intensity 7
- 23.80 deg, 3.739 Å, intensity 4
- 32.94 deg, 2.719 Å, intensity 24
- 34.84 deg, 2.575 Å, intensity 27
- 37.40 deg, 2.404 Å, intensity 100
- 48.71 deg, 1.870 Å, intensity 16
- 58.83 deg, 1.570 Å, intensity 17
- 64.16 deg, 1.451 Å, intensity 19
- 70.22 deg, 1.340 Å, intensity 19
- 71.82 deg, 1.314 Å, intensity 13
- 79.77 deg, 1.202 Å, intensity 3



# 5
The following is a simulated powder XRD pattern of YB2Ir2. It was derived from a PBE-relaxed structure, using Cu Kα (λ = 1.5418 Å).
Kinematic intensities with the Lorentz-polarization factor, no thermal factor.

Atomic structure:
```
YB2Ir2
1.0
0.000 4.656 5.412
2.941 0.000 5.412
2.941 4.656 0.000
Y B Ir
2 4 4
Direct
0.125 0.125 0.125 Y
0.875 0.875 0.875 Y
0.193 0.557 0.193 B
0.443 0.807 0.443 B
0.557 0.193 0.557 B
0.807 0.443 0.807 B
0.247 0.247 0.503 Ir
0.497 0.497 0.753 Ir
0.503 0.503 0.247 Ir
0.753 0.753 0.497 Ir
```

Most intense lines, 10 to 90 degrees two-theta, low angle first:
- 19.64 deg, 4.519 Å, intensity 68
- 30.61 deg, 2.920 Å, intensity 99
- 33.10 deg, 2.706 Å, intensity 22
- 36.12 deg, 2.487 Å, intensity 100
- 38.68 deg, 2.328 Å, intensity 43
- 41.33 deg, 2.185 Å, intensity 49
- 45.71 deg, 1.985 Å, intensity 26
- 49.80 deg, 1.831 Å, intensity 34
- 53.94 deg, 1.700 Å, intensity 18
- 54.13 deg, 1.694 Å, intensity 20
- 68.34 deg, 1.373 Å, intensity 25
- 80.88 deg, 1.188 Å, intensity 20



# 6
The following is a simulated powder XRD pattern of Tm5Rh3. It was derived from a PBE-relaxed structure, using Cu Kα (λ = 1.5418 Å).
Kinematic intensities with the Lorentz-polarization factor, no thermal factor.

Atomic structure:
```
Tm5Rh3
1.0
8.196 0.000 0.000
-4.098 7.098 0.000
0.000 0.000 6.168
Tm Rh
10 6
Direct
0.000 0.255 0.250 Tm
0.000 0.745 0.750 Tm
0.255 0.000 0.250 Tm
0.255 0.255 0.750 Tm
0.333 0.667 0.000 Tm
0.333 0.667 0.500 Tm
0.667 0.333 0.000 Tm
0.667 0.333 0.500 Tm
0.745 0.000 0.750 Tm
0.745 0.745 0.250 Tm
0.000 0.394 0.750 Rh
0.000 0.606 0.250 Rh
0.394 0.000 0.750 Rh
0.394 0.394 0.250 Rh
0.606 0.000 0.250 Rh
0.606 0.606 0.750 Rh
```

Most intense lines, 10 to 90 degrees two-theta, low angle first:
- 28.95 deg, 3.084 Å, intensity 9
- 31.63 deg, 2.829 Å, intensity 12
- 33.40 deg, 2.683 Å, intensity 17
- 36.49 deg, 2.462 Å, intensity 100
- 38.03 deg, 2.366 Å, intensity 28
- 53.71 deg, 1.707 Å, intensity 12
- 56.38 deg, 1.632 Å, intensity 14
- 58.63 deg, 1.574 Å, intensity 8
- 59.99 deg, 1.542 Å, intensity 6
- 60.16 deg, 1.538 Å, intensity 10
- 73.27 deg, 1.292 Å, intensity 8
- 76.25 deg, 1.249 Å, intensity 7



# 7
The following is a simulated powder XRD pattern of Dy3Si2Cl5O6. It was derived from a PBE-relaxed structure, using Cu Kα (λ = 1.5418 Å).
Kinematic intensities with the Lorentz-polarization factor, no thermal factor.

Atomic structure:
```
Dy3Si2Cl5O6
1.0
5.336 -5.206 0.000
5.336 5.206 0.000
-2.682 0.000 11.393
Dy Si Cl O
6 4 10 12
Direct
0.000 0.500 0.500 Dy
0.081 0.584 0.830 Dy
0.416 0.919 0.170 Dy
0.500 0.000 0.500 Dy
0.584 0.081 0.830 Dy
0.919 0.416 0.170 Dy
0.110 0.817 0.355 Si
0.183 0.890 0.645 Si
0.817 0.110 0.355 Si
0.890 0.183 0.645 Si
0.115 0.674 0.079 Cl
0.221 0.221 0.163 Cl
0.316 0.316 0.503 Cl
0.326 0.885 0.921 Cl
0.378 0.378 0.857 Cl
0.622 0.622 0.143 Cl
0.674 0.115 0.079 Cl
0.684 0.684 0.497 Cl
0.779 0.779 0.837 Cl
0.885 0.326 0.921 Cl
0.045 0.606 0.328 O
0.048 0.048 0.695 O
0.132 0.692 0.672 O
0.142 0.858 0.500 O
0.308 0.868 0.328 O
0.394 0.955 0.672 O
0.606 0.045 0.328 O
0.692 0.132 0.672 O
0.858 0.142 0.500 O
0.868 0.308 0.328 O
0.952 0.952 0.305 O
0.955 0.394 0.672 O
```

Most intense lines, 10 to 90 degrees two-theta, low angle first:
- 17.05 deg, 5.202 Å, intensity 100
- 23.42 deg, 3.798 Å, intensity 24
- 24.20 deg, 3.677 Å, intensity 27
- 25.71 deg, 3.466 Å, intensity 21
- 32.21 deg, 2.779 Å, intensity 25
- 33.59 deg, 2.668 Å, intensity 17
- 34.46 deg, 2.603 Å, intensity 18
- 36.66 deg, 2.452 Å, intensity 20
- 38.69 deg, 2.327 Å, intensity 22
- 42.09 deg, 2.147 Å, intensity 15
- 45.03 deg, 2.013 Å, intensity 22
- 47.89 deg, 1.899 Å, intensity 17